La2P4O13: computed XRD peak list (Cu Ka), based on the PBE geometry in Alexandria.
No peak broadening, texture or thermal motion is included.

Cell and atoms:
```
La2P4O13
1.0
6.1291 -3.5536 0.0000
6.1291 3.5536 0.0000
-3.5304 0.0000 13.0105
La P O
4 8 26
Direct
0.1840 0.1955 0.0531
0.1955 0.1840 0.5531
0.8045 0.8160 0.4469
0.8160 0.8045 0.9469
0.2544 0.2830 0.3418
0.2830 0.2544 0.8418
0.3332 0.6510 0.1380
0.3491 0.6668 0.3620
0.6510 0.3332 0.6380
0.6668 0.3491 0.8620
0.7170 0.7456 0.1582
0.7456 0.7170 0.6582
0.0611 0.4236 0.4042
0.0939 0.4199 0.9033
0.1747 0.8241 0.4316
0.1759 0.8253 0.0684
0.1928 0.2131 0.2303
0.2131 0.1928 0.7303
0.2517 0.7483 0.2500
0.3606 0.4233 0.1060
0.3778 0.4251 0.3442
0.4199 0.0939 0.4033
0.4233 0.3606 0.6060
0.4236 0.0611 0.9042
0.4251 0.3778 0.8442
0.5749 0.6222 0.1558
0.5764 0.9389 0.0958
0.5767 0.6394 0.3940
0.5801 0.9061 0.5967
0.6222 0.5749 0.6558
0.6394 0.5767 0.8940
0.7483 0.2517 0.7500
0.7869 0.8072 0.2697
0.8072 0.7869 0.7697
0.8241 0.1747 0.9316
0.8253 0.1759 0.5684
0.9061 0.5801 0.0967
0.9389 0.5764 0.5958
```

Main lines, sorted by position (5° ≤ 2θ ≤ 70°):
2θ (°), I/Imax
13.6, 36
15.0, 54
18.6, 37
25.1, 39
25.8, 35
29.3, 100